Theoretical X-ray diffraction stick pattern of Zr3Rh for Cu Kα (λ = 1.5418 Å), from a DFT-relaxed cell (PBE, the Materials Project).
Peak positions follow from Bragg's law for the DFT cell and can differ from measured ones.

Peak list (10 most intense, 2θ = 10–80°, in order of rising 2θ)
2θ/deg  d/Å  I/Imax
33.31  2.689  85
33.84  2.649  99
35.40  2.536  92
37.38  2.406  42
37.86  2.376  100
39.28  2.294  80
42.86  2.110  31
60.88  1.522  31
69.95  1.345  29
72.75  1.300  28

Atomic structure:
abc: 8.1332 8.1332 8.1332
angles: 97.18 97.18 138.60
Sites, in units of the cell vectors:
Zr  0.0000  0.3549  0.3549
Zr  0.0000  0.6451  0.6451
Zr  0.0442  0.4535  0.0000
Zr  0.1366  0.1366  0.8076
Zr  0.3290  0.3290  0.1924
Zr  0.3549  0.0000  0.3549
Zr  0.4535  0.0442  0.0000
Zr  0.5465  0.5465  0.5906
Zr  0.6451  0.0000  0.6451
Zr  0.6710  0.8634  0.0000
Zr  0.8634  0.6710  0.0000
Zr  0.9558  0.9558  0.4094
Rh  0.2075  0.5000  0.7075
Rh  0.5000  0.2075  0.7075
Rh  0.5000  0.7925  0.2925
Rh  0.7925  0.5000  0.2925